Record 1
Diffraction record for Rb2PdSe2. The powder XRD pattern is computed, not measured: it uses the GGA-PBE geometry in the Materials Project and Cu Kα, 1.54184 Å.
Neutral-atom scattering factors, no anomalous dispersion.

Top 12 peaks for 2θ = 10–90°, sorted by position:
Position (°2θ)  Rel. int.
14.36  33
17.26  27
23.07  14
28.52  75
28.96  21
31.15  53
33.95  100
34.95  41
45.91  53
46.90  20
55.83  31
56.00  49

Crystal structure
Cell: 6.7087 6.7087 6.7087 Å, 146.43 109.86 80.04°
Element x y z (fractional)
Rb 0.1932 0.1932 0.0000
Rb 0.8068 0.8068 0.0000
Pd 0.5000 0.0000 0.5000
Se 0.2894 0.5000 0.7894
Se 0.7106 0.5000 0.2106

=====

Record 2
Diffraction record for Rb2LiNb2Te2O12. The powder XRD pattern is computed, not measured: it uses the GGA-PBE geometry in the Materials Project and Cu Kα, 1.54184 Å.
Neutral-atom scattering factors, no anomalous dispersion.

Top 12 peaks for 2θ = 10–90°, sorted by position:
Position (°2θ)  Rel. int.
14.41  100
27.69  99
27.85  54
28.05  61
28.21  18
29.00  71
29.11  31
29.34  46
44.21  18
48.41  21
48.77  36
50.75  19

Crystal structure
Cell: 7.4679 7.4737 7.4993 Å, 90.89 119.73 118.87°
Element x y z (fractional)
Rb 0.0000 0.0000 0.0000
Rb 0.3623 0.1975 0.6392
Li 0.5714 0.8054 0.5039
Nb 0.0891 0.5475 0.1814
Nb 0.6186 0.0767 0.2203
Te 0.1431 0.5917 0.7067
Te 0.6326 0.5856 0.2161
O 0.2780 0.6496 0.5232
O 0.3773 0.9036 0.8996
O 0.3831 0.8972 0.2806
O 0.3942 0.5272 0.2862
O 0.3979 0.5224 0.9032
O 0.5073 0.2789 0.1485
O 0.7639 0.8941 0.2915
O 0.8744 0.6439 0.1497
O 0.8755 0.2573 0.1371
O 0.8812 0.6602 0.5293
O 0.8968 0.2717 0.5261
O 0.9994 0.5209 0.8892

=====

Record 3
Diffraction record for Cs2ScAgBr6. The powder XRD pattern is computed, not measured: it uses the GGA-PBE geometry in the Materials Project and Cu Kα, 1.54184 Å.
Neutral-atom scattering factors, no anomalous dispersion.

Top 12 peaks for 2θ = 10–90°, sorted by position:
Position (°2θ)  Rel. int.
22.53  39
27.68  84
32.07  100
39.55  17
45.99  70
54.52  36
57.16  24
62.23  9
67.07  11
74.03  14
76.29  30
85.16  23

Crystal structure
Cell: 7.8942 7.8942 7.8942 Å, 60.00 60.00 60.00°
Element x y z (fractional)
Cs 0.2500 0.2500 0.2500
Cs 0.7500 0.7500 0.7500
Sc 0.0000 0.0000 0.0000
Ag 0.5000 0.5000 0.5000
Br 0.2399 0.2399 0.7601
Br 0.2399 0.7601 0.2399
Br 0.2399 0.7601 0.7601
Br 0.7601 0.2399 0.2399
Br 0.7601 0.2399 0.7601
Br 0.7601 0.7601 0.2399